Theoretical powder XRD pattern
Compound: Li12Al3Si4
Radiation: Cu Ka
Structure: a GGA-PBE-relaxed structure

The 10 most intense peaks (2θ from 15° to 90°), in order of rising 2θ:
2θ (°)	d (Å)	I_rel
20.68	4.295	100
23.92	3.720	28
31.83	2.812	34
40.21	2.243	92
42.08	2.147	27
43.88	2.063	69
47.33	1.921	15
56.71	1.623	16
70.48	1.336	23
78.15	1.223	26

Atomic structure:
```
Li12Al3Si4
1.0
-5.2602 5.2602 5.2602
5.2602 -5.2602 5.2602
5.2602 5.2602 -5.2602
Li Al Si
24 6 8
Direct
0.0363 0.6148 0.3461 Li
0.0785 0.3097 0.9637 Li
0.1148 0.5363 0.8461 Li
0.1539 0.7688 0.6903 Li
0.1903 0.2688 0.6539 Li
0.2312 0.4215 0.3852 Li
0.2688 0.6539 0.1903 Li
0.3097 0.9637 0.0785 Li
0.3461 0.0363 0.6148 Li
0.3852 0.2312 0.4215 Li
0.4215 0.3852 0.2312 Li
0.4637 0.8097 0.5785 Li
0.5363 0.8461 0.1148 Li
0.5785 0.4637 0.8097 Li
0.6148 0.3461 0.0363 Li
0.6539 0.1903 0.2688 Li
0.6903 0.1539 0.7688 Li
0.7312 0.8852 0.9215 Li
0.7688 0.6903 0.1539 Li
0.8097 0.5785 0.4637 Li
0.8461 0.1148 0.5363 Li
0.8852 0.9215 0.7312 Li
0.9215 0.7312 0.8852 Li
0.9637 0.0785 0.3097 Li
0.1250 0.8750 0.2500 Al
0.2500 0.1250 0.8750 Al
0.3750 0.6250 0.7500 Al
0.6250 0.7500 0.3750 Al
0.7500 0.3750 0.6250 Al
0.8750 0.2500 0.1250 Al
0.0000 0.4084 0.5000 Si
0.0000 0.9084 0.5000 Si
0.0916 0.0916 0.0916 Si
0.4084 0.5000 0.0000 Si
0.5000 0.0000 0.4084 Si
0.5000 0.0000 0.9084 Si
0.5916 0.5916 0.5916 Si
0.9084 0.5000 0.0000 Si
```

Theoretical powder XRD pattern
Compound: Li2SmAl
Radiation: Cu Ka
Structure: a GGA-PBE-relaxed structure

The 10 most intense peaks (2θ from 15° to 90°), in order of rising 2θ:
2θ (°)	d (Å)	I_rel
22.63	3.929	100
26.19	3.402	99
37.38	2.406	97
44.14	2.052	53
46.21	1.964	28
53.89	1.701	17
59.18	1.561	22
60.88	1.522	37
67.42	1.389	34
85.65	1.134	18

Atomic structure:
```
Li2SmAl
1.0
0.0000 3.4024 3.4024
3.4024 0.0000 3.4024
3.4024 3.4024 0.0000
Li Sm Al
2 1 1
Direct
0.2500 0.2500 0.2500 Li
0.7500 0.7500 0.7500 Li
0.0000 0.0000 0.0000 Sm
0.5000 0.5000 0.5000 Al
```

Theoretical powder XRD pattern
Compound: Lu3Al
Radiation: Cu Ka
Structure: a GGA-PBE-relaxed structure

The 10 most intense peaks (2θ from 15° to 90°), in order of rising 2θ:
2θ (°)	d (Å)	I_rel
19.03	4.663	21
27.05	3.297	18
33.28	2.692	100
38.62	2.331	50
43.40	2.085	10
47.78	1.903	8
55.77	1.648	35
66.51	1.406	41
69.89	1.346	12
82.81	1.166	6

Atomic structure:
```
Lu3Al
1.0
4.6625 0.0000 0.0000
0.0000 4.6625 0.0000
0.0000 0.0000 4.6625
Lu Al
3 1
Direct
0.0000 0.0000 0.5000 Lu
0.0000 0.5000 0.0000 Lu
0.5000 0.0000 0.0000 Lu
0.5000 0.5000 0.5000 Al
```

Theoretical powder XRD pattern
Compound: Lu3Al
Radiation: Cu Ka
Structure: a GGA-PBE-relaxed structure

The 10 most intense peaks (2θ from 15° to 90°), in order of rising 2θ:
2θ (°)	d (Å)	I_rel
22.88	3.887	26
26.80	3.326	10
31.05	2.880	24
34.04	2.634	25
35.52	2.527	100
46.73	1.944	16
55.24	1.663	19
61.89	1.499	20
66.49	1.406	21
67.41	1.389	15

Atomic structure:
```
Lu3Al
1.0
6.6520 0.0000 0.0000
-3.3260 5.7608 0.0000
0.0000 0.0000 5.2676
Lu Al
6 2
Direct
0.1719 0.3439 0.2500 Lu
0.1719 0.8281 0.2500 Lu
0.3439 0.1719 0.7500 Lu
0.6561 0.8281 0.2500 Lu
0.8281 0.1719 0.7500 Lu
0.8281 0.6561 0.7500 Lu
0.3333 0.6667 0.7500 Al
0.6667 0.3333 0.2500 Al
```